Diffraction record for TmBiH6Ir2. The X-ray diffraction stick pattern is calculated, not measured: it uses a structure optimized by DFT (GGA-PBE) and λ = 1.5418 Å (Cu Kα).
Neutral-atom scattering factors, no anomalous dispersion.

Cell and atoms:
Unit cell a=8.141 b=12.727 c=4.472 alpha=90.00 beta=90.00 gamma=90.00
Space group Cmcm (No. 63)
Unique sites:
Tm: 0.000 0.132 0.250
Bi: 0.000 0.406 0.750
H: 0.129 0.000 0.000
H: 0.237 0.180 0.518
Ir: 0.238 0.081 0.750

Peak list (10 most intense, 15° ≤ 2θ ≤ 90°, sorted by position)
2θ = 28.04°, I 19, hkl 0 4 0
2θ = 32.91°, I 100, hkl 2 2 1
2θ = 40.33°, I 18, hkl 0 0 2
2θ = 41.29°, I 24, hkl 2 4 1
2θ = 44.52°, I 13, hkl 4 0 0
2θ = 49.84°, I 8, hkl 0 4 2
2θ = 53.44°, I 7, hkl 4 4 0
2θ = 61.62°, I 10, hkl 4 0 2
2θ = 68.65°, I 12, hkl 2 2 3
2θ = 74.60°, I 9, hkl 6 2 1